Starting from the GGA-PBE geometry in the Materials Project, the PXRD pattern of K3P2HO6F2 was computed for Cu Ka.
Peak positions follow from Bragg's law for the DFT cell and can differ from measured ones.

Cell: 8.0878 11.8458 9.4481 Å, 90.00 111.73 90.00°
Space group Cc (No. 9)
Symmetry-distinct sites (fractional):
K 0.0000 0.1294 0.0000 [4 per cell]
K 0.3155 0.3698 0.1233 [4 per cell]
K 0.4037 0.1444 0.8093 [4 per cell]
P 0.1185 0.3871 0.7422 [4 per cell]
P 0.1991 0.1164 0.3807 [4 per cell]
H 0.4115 0.0020 0.5623 [4 per cell]
O 0.1180 0.0109 0.2919 [4 per cell]
O 0.1244 0.2766 0.8223 [4 per cell]
O 0.1852 0.2257 0.2950 [4 per cell]
O 0.2009 0.4905 0.8356 [4 per cell]
O 0.3872 0.0972 0.5048 [4 per cell]
O 0.4316 0.0895 0.1169 [4 per cell]
F 0.0794 0.1398 0.4877 [4 per cell]
F 0.2382 0.3649 0.6366 [4 per cell]

Top 10 peaks for 15 to 90 degrees two-theta, low angle first:
Position (°2θ), I (rel.), hkl
26.7, 100, 2 2 -1
28.1, 35, 1 1 2
29.4, 29, 1 1 -3
30.2, 37, 0 4 0
35.5, 46, 1 3 2
36.5, 25, 1 3 -3
36.6, 16, 0 4 2
44.3, 12, 3 1 -4
44.9, 14, 4 0 -2
72.0, 13, 6 2 -3